Entry 1:
Starting from the GGA+U geometry in the Materials Project, the powder X-ray diffraction pattern of K2Mn2Zn4Si4O15 was computed for CuKα.

Crystal structure
abc: 9.579 9.579 9.579
angles: 122.90 66.94 148.04
Sites, in units of the cell vectors:
K 0.116 0.000 0.116
K 0.884 0.000 0.884
Mn 0.953 0.297 0.344
Mn 0.953 0.609 0.656
Zn 0.394 0.276 0.496
Zn 0.394 0.898 0.118
Zn 0.780 0.276 0.882
Zn 0.780 0.898 0.504
Si 0.269 0.574 0.694
Si 0.506 0.334 0.828
Si 0.506 0.678 0.172
Si 0.880 0.574 0.306
O 0.117 0.522 0.594
O 0.171 0.886 0.285
O 0.179 0.294 0.590
O 0.179 0.589 0.886
O 0.203 0.026 0.823
O 0.203 0.380 0.177
O 0.570 0.403 0.672
O 0.570 0.898 0.167
O 0.601 0.886 0.715
O 0.605 0.605 0.000
O 0.704 0.294 0.114
O 0.704 0.589 0.410
O 0.731 0.403 0.833
O 0.731 0.898 0.328
O 0.928 0.522 0.406

Principal peaks in the range 2θ from 15° to 90°, by intensity:
d [Å], I/Imax
2.900, 100
3.012, 93
2.507, 67
3.379, 62
1.593, 58
2.637, 57
2.643, 48
3.995, 34

---

Entry 2:
Starting from the GGA+U geometry in the Materials Project, the powder X-ray diffraction pattern of MgCo4O8 was computed for CuKα.

Crystal structure
abc: 5.969 5.969 5.969
angles: 57.72 57.72 57.72
Sites, in units of the cell vectors:
Mg 0.000 0.000 0.000
Co 0.034 0.546 0.546
Co 0.178 0.178 0.178
Co 0.546 0.034 0.546
Co 0.546 0.546 0.034
O 0.271 0.271 0.768
O 0.271 0.768 0.271
O 0.307 0.307 0.307
O 0.350 0.786 0.786
O 0.768 0.271 0.271
O 0.776 0.776 0.776
O 0.786 0.350 0.786
O 0.786 0.786 0.350

Principal peaks in the range 2θ from 15° to 90°, by intensity:
d [Å], I/Imax
4.956, 100
2.461, 68
2.072, 44
4.143, 31
1.617, 30
2.981, 28
1.441, 27
2.491, 23

---

Entry 3:
Starting from the GGA+U geometry in the Materials Project, the powder X-ray diffraction pattern of LiVF3 was computed for CuKα.

Crystal structure
abc: 7.257 7.257 5.782
angles: 109.01 109.01 80.27
Sites, in units of the cell vectors:
Li 0.121 0.271 0.176
Li 0.271 0.121 0.676
Li 0.729 0.879 0.324
Li 0.879 0.729 0.824
V 0.231 0.769 0.250
V 0.407 0.593 0.750
V 0.593 0.407 0.250
V 0.769 0.231 0.750
F 0.068 0.219 0.816
F 0.148 0.648 0.846
F 0.219 0.068 0.316
F 0.312 0.477 0.333
F 0.352 0.852 0.654
F 0.477 0.312 0.833
F 0.523 0.688 0.167
F 0.648 0.148 0.346
F 0.688 0.523 0.667
F 0.781 0.932 0.684
F 0.852 0.352 0.154
F 0.932 0.781 0.184

Principal peaks in the range 2θ from 15° to 90°, by intensity:
d [Å], I/Imax
5.019, 100
2.357, 78
2.616, 46
3.343, 43
1.807, 37
1.633, 27
3.151, 22
4.899, 20

---

Entry 4:
Starting from the GGA+U geometry in the Materials Project, the powder X-ray diffraction pattern of AlFe4Cu3O12 was computed for CuKα.

Crystal structure
abc: 6.425 6.425 6.425
angles: 109.47 109.47 109.47
Sites, in units of the cell vectors:
Al 0.000 0.000 0.000
Fe 0.000 0.000 0.500
Fe 0.000 0.500 0.000
Fe 0.500 0.000 0.000
Fe 0.500 0.500 0.500
Cu 0.000 0.500 0.500
Cu 0.500 0.000 0.500
Cu 0.500 0.500 0.000
O 0.143 0.838 0.305
O 0.162 0.305 0.468
O 0.162 0.695 0.857
O 0.305 0.143 0.838
O 0.305 0.468 0.162
O 0.468 0.162 0.305
O 0.532 0.838 0.695
O 0.695 0.532 0.838
O 0.695 0.857 0.162
O 0.838 0.305 0.143
O 0.838 0.695 0.532
O 0.857 0.162 0.695

Principal peaks in the range 2θ from 15° to 90°, by intensity:
d [Å], I/Imax
2.623, 100
1.514, 51
1.855, 25
1.173, 16
1.311, 11
3.029, 9
2.346, 6
5.246, 5

---

Entry 5:
Starting from the GGA+U geometry in the Materials Project, the powder X-ray diffraction pattern of Na2MoO2 was computed for CuKα.

Crystal structure
abc: 10.363 9.947 8.409
angles: 68.15 62.99 48.86
Sites, in units of the cell vectors:
Na 0.170 0.737 0.330
Na 0.263 0.330 0.737
Na 0.263 0.830 0.737
Na 0.330 0.263 0.170
Na 0.670 0.737 0.830
Na 0.737 0.170 0.263
Na 0.737 0.670 0.263
Na 0.830 0.263 0.670
Mo 0.000 0.500 0.500
Mo 0.500 0.000 0.500
Mo 0.500 0.500 0.000
Mo 0.500 0.500 0.500
O 0.026 0.463 0.284
O 0.273 0.716 0.537
O 0.284 0.727 0.026
O 0.463 0.026 0.727
O 0.537 0.974 0.273
O 0.716 0.273 0.974
O 0.727 0.284 0.463
O 0.974 0.537 0.716

Principal peaks in the range 2θ from 15° to 90°, by intensity:
d [Å], I/Imax
4.117, 100
3.819, 51
3.723, 48
3.487, 47
3.064, 45
2.294, 39
1.862, 32
3.145, 32

---

Entry 6:
Starting from the GGA+U geometry in the Materials Project, the powder X-ray diffraction pattern of SrCrO3 was computed for CuKα.

Crystal structure
abc: 5.505 5.505 13.534
angles: 90.00 90.00 120.00
Sites, in units of the cell vectors:
Sr 0.000 0.000 0.250
Sr 0.000 0.000 0.750
Sr 0.333 0.667 0.091
Sr 0.333 0.667 0.409
Sr 0.667 0.333 0.591
Sr 0.667 0.333 0.909
Cr 0.000 0.000 0.000
Cr 0.000 0.000 0.500
Cr 0.333 0.667 0.657
Cr 0.333 0.667 0.843
Cr 0.667 0.333 0.157
Cr 0.667 0.333 0.343
O 0.025 0.513 0.750
O 0.164 0.329 0.582
O 0.164 0.329 0.918
O 0.164 0.836 0.582
O 0.164 0.836 0.918
O 0.329 0.164 0.082
O 0.329 0.164 0.418
O 0.487 0.513 0.750
O 0.487 0.975 0.750
O 0.513 0.025 0.250
O 0.513 0.487 0.250
O 0.671 0.836 0.582
O 0.671 0.836 0.918
O 0.836 0.164 0.082
O 0.836 0.164 0.418
O 0.836 0.671 0.082
O 0.836 0.671 0.418
O 0.975 0.487 0.250

Principal peaks in the range 2θ from 15° to 90°, by intensity:
d [Å], I/Imax
2.755, 100
1.949, 28
1.590, 26
2.108, 18
3.277, 17
1.376, 13
1.790, 12
1.501, 9

---

Entry 7:
Starting from the GGA+U geometry in the Materials Project, the powder X-ray diffraction pattern of Li5Ni3Sb2O10 was computed for CuKα.

Crystal structure
abc: 5.245 5.431 7.892
angles: 106.46 103.18 101.98
Sites, in units of the cell vectors:
Li 0.000 0.000 0.000
Li 0.093 0.200 0.699
Li 0.269 0.626 0.117
Li 0.731 0.374 0.883
Li 0.907 0.800 0.301
Ni 0.203 0.397 0.398
Ni 0.500 0.000 0.500
Ni 0.797 0.603 0.602
Sb 0.396 0.791 0.798
Sb 0.604 0.209 0.202
O 0.063 0.605 0.846
O 0.154 0.788 0.558
O 0.268 0.025 0.254
O 0.365 0.161 0.941
O 0.451 0.442 0.667
O 0.549 0.558 0.333
O 0.635 0.839 0.059
O 0.732 0.975 0.746
O 0.846 0.212 0.442
O 0.937 0.395 0.154

Principal peaks in the range 2θ from 15° to 90°, by intensity:
d [Å], I/Imax
4.987, 100
2.261, 47
4.885, 44
2.105, 39
2.110, 39
2.497, 31
4.144, 30
1.542, 27

---

Entry 8:
Starting from the GGA+U geometry in the Materials Project, the powder X-ray diffraction pattern of VO3 was computed for CuKα.

Crystal structure
abc: 5.383 8.808 7.673
angles: 90.00 106.36 90.00
Sites, in units of the cell vectors:
V 0.038 0.038 0.318
V 0.038 0.462 0.318
V 0.450 0.750 0.566
V 0.550 0.250 0.434
V 0.962 0.538 0.682
V 0.962 0.962 0.682
O 0.104 0.070 0.848
O 0.104 0.430 0.848
O 0.115 0.750 0.800
O 0.170 0.597 0.522
O 0.170 0.903 0.522
O 0.304 0.750 0.953
O 0.339 0.102 0.293
O 0.339 0.398 0.293
O 0.462 0.250 0.618
O 0.538 0.750 0.382
O 0.661 0.602 0.707
O 0.661 0.898 0.707
O 0.696 0.250 0.047
O 0.830 0.097 0.478
O 0.830 0.403 0.478
O 0.885 0.250 0.200
O 0.896 0.570 0.152
O 0.896 0.930 0.152

Principal peaks in the range 2θ from 15° to 90°, by intensity:
d [Å], I/Imax
3.351, 100
5.649, 56
3.500, 39
2.859, 38
5.165, 25
2.825, 23
2.295, 15
1.973, 15